# 1
For Sm2Al12Pt7, a crystal structure in Alexandria, relaxed with GGA-PBE gives the simulated powder diffraction line list in this record (λ = 1.5418 Å (Cu Kα)).

Main lines, by intensity (2θ from 10° to 90°):
- 3.266 Å, I = 100, (2 1 0)
- 3.006 Å, I = 99, (2 0 1)
- 2.574 Å, I = 77, (1 2 1)
- 3.206 Å, I = 64, (1 1 1)
- 2.079 Å, I = 55, (3 1 1)
- 1.791 Å, I = 41, (3 2 1)
- 2.092 Å, I = 40, (0 0 2)
- 1.762 Å, I = 36, (2 1 2)
- 1.885 Å, I = 34, (1 4 0)
- 2.142 Å, I = 34, (2 2 1)

Structure:
```
data_Sm2Al12Pt7
_cell_length_a 9.9764
_cell_length_b 9.9764
_cell_length_c 4.1842
_cell_angle_alpha 90.00
_cell_angle_beta 90.00
_cell_angle_gamma 120.00
_space_group_name_H-M_alt 'P -6'
_space_group_IT_number 174
_space_group_name_Hall 'P -6'
loop_
_atom_site_label
_atom_site_type_symbol
_atom_site_fract_x
_atom_site_fract_y
_atom_site_fract_z
Sm1 Sm 0.0000 0.0000 0.0000
Sm2 Sm 0.3333 0.6667 0.5000
Al1 Al 0.0232 0.2820 0.5000
Al2 Al 0.1387 0.7503 0.0000
Al3 Al 0.3754 0.1976 0.0000
Al4 Al 0.5372 0.4175 0.5000
Pt1 Pt 0.0338 0.4526 0.0000
Pt2 Pt 0.2462 0.2326 0.5000
Pt3 Pt 0.6667 0.3333 0.0000
```

# 2
For ZrTaGaC2, a crystal structure in Alexandria, relaxed with GGA-PBE gives the simulated powder diffraction line list in this record (λ = 1.5418 Å (Cu Kα)).

Main lines, by intensity (2θ from 10° to 90°):
- 2.943 Å, I = 100, (1 1 0)
- 4.162 Å, I = 91, (1 0 0)
- 2.025 Å, I = 70, (1 1 2)
- 3.336 Å, I = 66, (1 0 1)
- 2.790 Å, I = 56, (0 0 2)
- 2.081 Å, I = 48, (2 0 0)
- 1.668 Å, I = 47, (2 0 2)
- 2.317 Å, I = 39, (1 0 2)
- 1.316 Å, I = 26, (3 1 0)
- 1.190 Å, I = 25, (3 1 2)

Structure:
```
data_ZrTaGaC2
_cell_length_a 4.1622
_cell_length_b 4.1622
_cell_length_c 5.5798
_cell_angle_alpha 90.00
_cell_angle_beta 90.00
_cell_angle_gamma 90.00
_space_group_name_H-M_alt 'P 4/m m m'
_space_group_IT_number 123
_space_group_name_Hall '-P 4 2'
loop_
_atom_site_label
_atom_site_type_symbol
_atom_site_fract_x
_atom_site_fract_y
_atom_site_fract_z
Zr1 Zr 0.0000 0.0000 0.0000
Ta1 Ta 0.0000 0.0000 0.5000
Ga1 Ga 0.5000 0.5000 0.0000
C1 C 0.0000 0.5000 0.5000
```